# 1
Structure and simulated X-ray powder pattern of AlFeW2 (a structure optimized by DFT (PBE); Cu Kα).
Neutral-atom scattering factors, no anomalous dispersion.

The 8 most intense peaks (10 to 90 degrees two-theta), in order of rising 2θ:
20.73 deg, I 53.5, hkl 0 0 1; 35.17 deg, I 29.2, hkl 1 1 0; 41.18 deg, I 100.0, hkl 1 1 1; 42.19 deg, I 23.3, hkl 0 0 2; 42.69 deg, I 22.6, hkl 0 2 0; 56.06 deg, I 16.1, hkl 1 1 2; 76.43 deg, I 16.2, hkl 1 1 3; 77.14 deg, I 15.8, hkl 1 3 1

Atomic structure:
Unit cell a=3.1966 b=4.2356 c=4.2843 alpha=90.00 beta=90.00 gamma=90.00
Space group Pmmm (No. 47)
Unique sites:
1 Al 0.0000 0.0000 0.0000 x1
2 Fe 0.5000 0.5000 0.0000 x1
3 W 0.0000 0.5000 0.5000 x1
4 W 0.5000 0.0000 0.5000 x1

***

# 2
Structure and simulated X-ray powder pattern of Y4Al16Fe3 (a structure optimized by DFT (PBE); Cu Kα).
Neutral-atom scattering factors, no anomalous dispersion.

The 8 most intense peaks (10 to 90 degrees two-theta), in order of rising 2θ:
20.83 deg, I 50.2, hkl 1 1 0; 31.80 deg, I 65.3, hkl 1 1 3; 33.74 deg, I 30.0, hkl 2 0 2; 38.32 deg, I 100.0, hkl 2 0 3; 42.40 deg, I 72.8, hkl 2 2 0; 53.96 deg, I 26.6, hkl 3 1 3; 59.78 deg, I 26.6, hkl 2 2 5; 74.84 deg, I 24.7, hkl 4 2 3

Atomic structure:
Unit cell a=6.0301 b=6.0301 c=11.2392 alpha=90.00 beta=90.00 gamma=90.00
Space group P4/mmm (No. 123)
Unique sites:
1 Y 0.0000 0.5000 0.1920 x4
2 Al 0.0000 0.0000 0.1951 x2
3 Al 0.2245 0.2245 0.0000 x4
4 Al 0.2516 0.2516 0.3858 x8
5 Al 0.5000 0.5000 0.2117 x2
6 Fe 0.0000 0.5000 0.5000 x2
7 Fe 0.5000 0.5000 0.0000 x1

***

# 3
Structure and simulated X-ray powder pattern of Y3AlFe8 (a structure optimized by DFT (PBE); Cu Kα).
Neutral-atom scattering factors, no anomalous dispersion.

The 8 most intense peaks (10 to 90 degrees two-theta), in order of rising 2θ:
27.23 deg, I 3.2, hkl 0 1 5; 35.57 deg, I 35.5, hkl 1 1 0; 41.98 deg, I 100.0, hkl 2 0 2; 43.94 deg, I 32.4, hkl 0 2 4; 63.88 deg, I 12.2, hkl 3 0 0; 68.27 deg, I 28.2, hkl 2 1 10; 75.31 deg, I 22.8, hkl 2 2 0; 86.16 deg, I 5.2, hkl 3 1 8

Atomic structure:
Unit cell a=5.0495 b=5.0495 c=24.7114 alpha=90.00 beta=90.00 gamma=120.00
Space group R3m (No. 160, hexagonal axes)
Unique sites:
1 Y 0.0000 0.0000 0.0000 x3
2 Y 0.0000 0.0000 0.1272 x3
3 Y 0.0000 0.0000 0.6207 x3
4 Al 0.0000 0.0000 0.4977 x3
5 Fe 0.0000 0.0000 0.3125 x3
6 Fe 0.0000 0.0000 0.8124 x3
7 Fe 0.9996 0.4998 0.5595 x9
8 Fe 0.0041 0.5021 0.0649 x9

***

# 4
Structure and simulated X-ray powder pattern of YAl2Fe10 (a structure optimized by DFT (PBE); Cu Kα).
Neutral-atom scattering factors, no anomalous dispersion.

The 8 most intense peaks (10 to 90 degrees two-theta), in order of rising 2θ:
36.78 deg, I 30.1, hkl 0 4 0; 37.34 deg, I 44.1, hkl 0 2 3; 39.86 deg, I 36.9, hkl 3 1 2; 42.79 deg, I 32.9, hkl 2 4 0; 42.96 deg, I 91.2, hkl 4 0 0; 43.28 deg, I 100.0, hkl 2 2 3; 48.34 deg, I 64.2, hkl 2 4 2; 48.92 deg, I 27.4, hkl 2 0 4

Atomic structure:
Unit cell a=8.4161 b=9.7740 c=8.3037 alpha=90.00 beta=90.00 gamma=90.00
Space group Cmcm (No. 63)
Unique sites:
1 Y 0.0000 0.1280 0.2500 x4
2 Al 0.2500 0.2500 0.0000 x8
3 Fe 0.0000 0.1476 0.6053 x8
4 Fe 0.0000 0.3980 0.0801 x8
5 Fe 0.1363 0.3783 0.7500 x8
6 Fe 0.2325 0.0000 0.0000 x8
7 Fe 0.2420 0.3805 0.2500 x8

***

# 5
Structure and simulated X-ray powder pattern of YAl9Fe3 (a structure optimized by DFT (PBE); Cu Kα).
Neutral-atom scattering factors, no anomalous dispersion.

The 8 most intense peaks (10 to 90 degrees two-theta), in order of rising 2θ:
14.24 deg, I 20.6, hkl 0 0 1; 28.58 deg, I 27.4, hkl 0 4 0; 28.73 deg, I 21.5, hkl 0 0 2; 35.20 deg, I 24.2, hkl 1 3 1; 40.93 deg, I 100.0, hkl 0 4 2; 41.06 deg, I 41.7, hkl 2 2 0; 41.29 deg, I 17.9, hkl 1 1 -3; 41.39 deg, I 36.6, hkl 2 2 -2

Atomic structure:
Unit cell a=5.0460 b=12.5020 c=6.6847 alpha=90.00 beta=111.46 gamma=90.00
Space group C2/m (No. 12)
Unique sites:
1 Y 0.0000 0.0000 0.0000 x2
2 Al 0.0000 0.0000 0.5000 x2
3 Al 0.0950 0.3880 0.2137 x8
4 Al 0.1774 0.1773 0.3369 x8
5 Fe 0.0000 0.5000 0.5000 x2
6 Fe 0.2500 0.2500 0.0000 x4

***

# 6
Structure and simulated X-ray powder pattern of Y2Al2Fe15 (a structure optimized by DFT (PBE); Cu Kα).
Neutral-atom scattering factors, no anomalous dispersion.

The 8 most intense peaks (10 to 90 degrees two-theta), in order of rising 2θ:
30.23 deg, I 9.8, hkl 1 1 3; 37.22 deg, I 13.8, hkl 3 0 0; 37.97 deg, I 9.3, hkl 0 2 4; 43.27 deg, I 100.0, hkl 0 0 6; 48.69 deg, I 29.2, hkl 2 2 3; 62.86 deg, I 12.9, hkl 2 2 6; 71.30 deg, I 9.2, hkl 3 3 3; 79.33 deg, I 8.9, hkl 6 0 0

Atomic structure:
Unit cell a=8.3674 b=8.3674 c=12.5330 alpha=90.00 beta=90.00 gamma=120.00
Space group R-3m (No. 166, hexagonal axes)
Unique sites:
1 Y 0.0000 0.0000 0.1531 x6
2 Al 0.0000 0.0000 0.3982 x6
3 Fe 0.0000 0.3001 0.5000 x18
4 Fe 0.0000 0.5000 0.0000 x9
5 Fe 0.9999 0.5000 0.3408 x18

***

# 7
Structure and simulated X-ray powder pattern of Y2Al8Fe (a structure optimized by DFT (PBE); Cu Kα).
Neutral-atom scattering factors, no anomalous dispersion.

The 8 most intense peaks (10 to 90 degrees two-theta), in order of rising 2θ:
21.08 deg, I 59.2, hkl 1 0 0; 31.95 deg, I 33.8, hkl 1 0 3; 34.04 deg, I 35.0, hkl 1 1 2; 38.59 deg, I 100.0, hkl 1 1 3; 42.91 deg, I 53.2, hkl 2 0 0; 60.17 deg, I 19.4, hkl 2 0 5; 62.31 deg, I 17.0, hkl 2 2 0; 75.74 deg, I 26.4, hkl 3 1 3

Atomic structure:
Unit cell a=4.2150 b=4.2150 c=11.2466 alpha=90.00 beta=90.00 gamma=90.00
Space group P4/mmm (No. 123)
Unique sites:
1 Y 0.0000 0.0000 0.1938 x2
2 Al 0.0000 0.5000 0.0000 x2
3 Al 0.0000 0.5000 0.3858 x4
4 Al 0.5000 0.5000 0.1917 x2
5 Fe 0.0000 0.0000 0.5000 x1

***

# 8
Structure and simulated X-ray powder pattern of YbAl8Fe4 (a structure optimized by DFT (PBE); Cu Kα).
Neutral-atom scattering factors, no anomalous dispersion.

The 8 most intense peaks (10 to 90 degrees two-theta), in order of rising 2θ:
14.42 deg, I 32.8, hkl 1 1 0; 20.40 deg, I 32.0, hkl 1 0 1; 29.06 deg, I 63.2, hkl 2 2 0; 35.78 deg, I 30.2, hkl 3 0 1; 41.52 deg, I 100.0, hkl 2 0 2; 41.59 deg, I 39.1, hkl 4 0 0; 60.23 deg, I 32.9, hkl 4 4 0; 75.85 deg, I 23.9, hkl 6 0 2

Atomic structure:
Unit cell a=8.6849 b=8.6849 c=5.0313 alpha=90.00 beta=90.00 gamma=90.00
Space group I4/mmm (No. 139)
Unique sites:
1 Yb 0.0000 0.0000 0.0000 x2
2 Al 0.0000 0.2221 0.5000 x8
3 Al 0.0000 0.3378 0.0000 x8
4 Fe 0.2500 0.2500 0.2500 x8

***

# 9
Structure and simulated X-ray powder pattern of YbAl6Fe6 (a structure optimized by DFT (PBE); Cu Kα).
Neutral-atom scattering factors, no anomalous dispersion.

The 8 most intense peaks (10 to 90 degrees two-theta), in order of rising 2θ:
14.64 deg, I 60.1, hkl 0 1 1; 20.65 deg, I 32.9, hkl 1 1 0; 29.52 deg, I 81.9, hkl 1 2 1; 41.88 deg, I 100.0, hkl 0 0 4; 42.06 deg, I 95.7, hkl 2 2 0; 42.59 deg, I 41.3, hkl 0 4 0; 47.26 deg, I 32.4, hkl 2 2 2; 61.26 deg, I 42.6, hkl 0 4 4

Atomic structure:
Unit cell a=4.9833 b=8.4911 c=8.6266 alpha=90.00 beta=90.00 gamma=90.00
Space group Immm (No. 71)
Unique sites:
1 Yb 0.0000 0.0000 0.0000 x2
2 Al 0.0000 0.0000 0.3451 x4
3 Al 0.0000 0.3345 0.0000 x4
4 Al 0.0000 0.5000 0.3111 x4
5 Fe 0.0000 0.2580 0.5000 x4
6 Fe 0.2500 0.2500 0.2500 x8

***

# 10
Structure and simulated X-ray powder pattern of Al5ZnFe10 (a structure optimized by DFT (PBE); Cu Kα).
Neutral-atom scattering factors, no anomalous dispersion.

The 8 most intense peaks (10 to 90 degrees two-theta), in order of rising 2θ:
28.86 deg, I 19.7, hkl 2 1 1; 38.81 deg, I 43.7, hkl 0 0 2; 40.06 deg, I 35.9, hkl 3 2 1; 43.61 deg, I 100.0, hkl 4 2 0; 44.75 deg, I 74.4, hkl 4 1 1; 48.01 deg, I 53.9, hkl 2 2 2; 73.60 deg, I 16.2, hkl 6 0 2; 86.48 deg, I 26.9, hkl 8 2 0

Atomic structure:
Unit cell a=9.2784 b=9.2784 c=4.6433 alpha=90.00 beta=90.00 gamma=90.00
Space group I422 (No. 97)
Unique sites:
1 Al 0.0000 0.0000 0.0000 x2
2 Al 0.1730 0.3270 0.2500 x8
3 Zn 0.0000 0.0000 0.5000 x2
4 Fe 0.0000 0.5000 0.0000 x4
5 Fe 0.0704 0.2372 0.7503 x16

***

# 11
Structure and simulated X-ray powder pattern of Al6ZnFe (a structure optimized by DFT (PBE); Cu Kα).
Neutral-atom scattering factors, no anomalous dispersion.

The 8 most intense peaks (10 to 90 degrees two-theta), in order of rising 2θ:
14.78 deg, I 100.0, hkl 0 2 0; 22.59 deg, I 83.1, hkl 1 1 -1; 29.81 deg, I 35.2, hkl 0 4 0; 35.75 deg, I 34.7, hkl 2 2 0; 43.43 deg, I 40.0, hkl 2 0 -2; 43.54 deg, I 24.1, hkl 1 5 -1; 45.36 deg, I 99.9, hkl 1 3 1; 45.51 deg, I 66.8, hkl 3 3 -1

Atomic structure:
Unit cell a=6.9106 b=11.9904 c=4.1677 alpha=90.00 beta=126.81 gamma=90.00
Space group C2/m (No. 12)
Unique sites:
1 Al 0.2301 0.0000 0.2299 x4
2 Al 0.2382 0.1787 0.7380 x8
3 Zn 0.0000 0.5000 0.0000 x2
4 Fe 0.0000 0.0000 0.5000 x2

***

# 12
Structure and simulated X-ray powder pattern of Al7Zn2Fe2 (a structure optimized by DFT (PBE); Cu Kα).
Neutral-atom scattering factors, no anomalous dispersion.

The 8 most intense peaks (10 to 90 degrees two-theta), in order of rising 2θ:
23.71 deg, I 80.8, hkl 0 2 1; 25.54 deg, I 22.6, hkl 0 0 2; 34.42 deg, I 98.4, hkl 2 0 1; 40.53 deg, I 53.6, hkl 0 4 0; 43.93 deg, I 54.6, hkl 0 2 3; 46.24 deg, I 100.0, hkl 2 2 2; 52.47 deg, I 17.4, hkl 0 0 4; 54.19 deg, I 45.6, hkl 2 4 1

Atomic structure:
Unit cell a=5.6186 b=8.9038 c=6.9750 alpha=90.00 beta=90.00 gamma=90.00
Space group Cmmm (No. 65)
Unique sites:
1 Al 0.0000 0.0000 0.0000 x2
2 Al 0.0000 0.5000 0.1909 x4
3 Al 0.2500 0.2500 0.2880 x8
4 Zn 0.2306 0.0000 0.5000 x4
5 Fe 0.0000 0.2709 0.0000 x4

***

Copy entry 9 word for word.
Structure and simulated X-ray powder pattern of YbAl6Fe6 (a structure optimized by DFT (PBE); Cu Kα).
Neutral-atom scattering factors, no anomalous dispersion.

The 8 most intense peaks (10 to 90 degrees two-theta), in order of rising 2θ:
14.64 deg, I 60.1, hkl 0 1 1; 20.65 deg, I 32.9, hkl 1 1 0; 29.52 deg, I 81.9, hkl 1 2 1; 41.88 deg, I 100.0, hkl 0 0 4; 42.06 deg, I 95.7, hkl 2 2 0; 42.59 deg, I 41.3, hkl 0 4 0; 47.26 deg, I 32.4, hkl 2 2 2; 61.26 deg, I 42.6, hkl 0 4 4

Atomic structure:
Unit cell a=4.9833 b=8.4911 c=8.6266 alpha=90.00 beta=90.00 gamma=90.00
Space group Immm (No. 71)
Unique sites:
1 Yb 0.0000 0.0000 0.0000 x2
2 Al 0.0000 0.0000 0.3451 x4
3 Al 0.0000 0.3345 0.0000 x4
4 Al 0.0000 0.5000 0.3111 x4
5 Fe 0.0000 0.2580 0.5000 x4
6 Fe 0.2500 0.2500 0.2500 x8